Entry 1:
Starting from a PBE-relaxed structure, the X-ray diffraction stick pattern of LiTcAgS3 was computed for Cu Kα X-rays.

Structural model:
```
data_LiTcAgS3
_symmetry_space_group_name_H-M 'C m c m'
_symmetry_Int_Tables_number 63
_symmetry_space_group_name_Hall '-C 2c 2'
_cell_length_a 3.2930
_cell_length_b 12.9481
_cell_length_c 9.6851
_cell_angle_alpha 90.00
_cell_angle_beta 90.00
_cell_angle_gamma 90.00
loop_
_atom_site_label
_atom_site_type_symbol
_atom_site_fract_x
_atom_site_fract_y
_atom_site_fract_z
Li1 Li 0.0000 0.2137 0.2500
Tc1 Tc 0.0000 0.5000 0.0000
Ag1 Ag 0.0000 0.1009 0.7500
S1 S 0.0000 0.1371 0.5095
S2 S 0.0000 0.4340 0.7500
```

Main lines, by intensity (15° ≤ 2θ ≤ 90°):
hkl, d [Å], 2theta, I_rel
1 3 0, 2.618, 34.3, 100
0 2 1, 5.382, 16.5, 96
0 0 4, 2.421, 37.1, 92
1 5 0, 2.035, 44.5, 92
1 3 1, 2.527, 35.5, 87
1 1 2, 2.665, 33.6, 70
1 5 4, 1.558, 59.3, 63
0 6 2, 1.971, 46.0, 59
1 3 4, 1.778, 51.4, 58
0 2 4, 2.268, 39.7, 44



Entry 2:
Starting from a PBE-relaxed structure, the X-ray diffraction stick pattern of LiAgSnSe3 was computed for Cu Kα X-rays.

Structural model:
```
data_LiAgSnSe3
_symmetry_space_group_name_H-M 'P n m a'
_symmetry_Int_Tables_number 62
_cell_length_a 12.1921
_cell_length_b 3.8978
_cell_length_c 12.5391
_cell_angle_alpha 90.00
_cell_angle_beta 90.00
_cell_angle_gamma 90.00
loop_
_symmetry_equiv_pos_as_xyz
'x,y,z'
'-x,-y,-z'
'-x+1/2,-y,z+1/2'
'x+1/2,y,-z+1/2'
'x+1/2,-y+1/2,-z+1/2'
'-x+1/2,y+1/2,z+1/2'
'-x,y+1/2,-z'
'x,-y+1/2,z'
loop_
_atom_site_label
_atom_site_type_symbol
_atom_site_fract_x
_atom_site_fract_y
_atom_site_fract_z
Li1 Li 0.2015 0.2500 0.0296
Ag1 Ag 0.2242 0.7500 0.8169
Sn1 Sn 0.0569 0.7500 0.2343
Se1 Se 0.0299 0.7500 0.8963
Se2 Se 0.0685 0.2500 0.3850
Se3 Se 0.2469 0.2500 0.6533
```

Main lines, by intensity (15° ≤ 2θ ≤ 90°):
hkl, d [Å], 2theta, I_rel
2 1 3, 2.582, 34.7, 100
1 1 3, 2.776, 32.3, 98
1 1 1, 3.560, 25.0, 61
4 0 1, 2.962, 30.2, 49
0 1 3, 2.851, 31.4, 44
0 2 0, 1.949, 46.6, 40
5 1 3, 1.853, 49.2, 36
4 0 0, 3.048, 29.3, 35
2 0 6, 1.977, 45.9, 34
3 0 6, 1.859, 49.0, 30



Entry 3:
Starting from a PBE-relaxed structure, the X-ray diffraction stick pattern of LiTbAg3Se4 was computed for Cu Kα X-rays.

Structural model:
```
data_LiTbAg3Se4
_symmetry_space_group_name_H-M 'P 1 21/m 1'
_symmetry_Int_Tables_number 11
_cell_length_a 6.5376
_cell_length_b 8.2086
_cell_length_c 9.8049
_cell_angle_alpha 90.00
_cell_angle_beta 104.37
_cell_angle_gamma 90.00
loop_
_symmetry_equiv_pos_as_xyz
'x,y,z'
'-x,-y,-z'
'-x,y+1/2,-z'
'x,-y+1/2,z'
loop_
_atom_site_label
_atom_site_type_symbol
_atom_site_fract_x
_atom_site_fract_y
_atom_site_fract_z
Li1 Li 0.1710 0.2500 0.2069
Tb1 Tb 0.2921 0.2500 0.7071
Ag1 Ag 0.1898 0.7500 0.2046
Ag2 Ag 0.2568 0.5646 0.4743
Se1 Se 0.0154 0.2500 0.4349
Se2 Se 0.1769 0.2500 0.9522
Se3 Se 0.4410 0.0117 0.2706
```

Main lines, by intensity (15° ≤ 2θ ≤ 90°):
hkl, d [Å], 2theta, I_rel
2 2 1, 2.315, 38.9, 100
0 4 0, 2.055, 44.1, 88
1 2 0, 3.444, 25.9, 60
2 2 -3, 2.186, 41.3, 59
1 3 0, 2.510, 35.8, 52
1 1 -3, 2.952, 30.3, 47
0 0 4, 2.374, 37.9, 47
1 0 -4, 2.431, 37.0, 46
2 2 -2, 2.422, 37.1, 46
1 1 3, 2.467, 36.4, 43



Entry 4:
Starting from a PBE-relaxed structure, the X-ray diffraction stick pattern of Li4TlAg2Sn was computed for Cu Kα X-rays.

Structural model:
```
data_Li4TlAg2Sn
_symmetry_space_group_name_H-M 'P -4 m 2'
_symmetry_Int_Tables_number 115
_cell_length_a 4.6646
_cell_length_b 4.6646
_cell_length_c 6.5587
_cell_angle_alpha 90.00
_cell_angle_beta 90.00
_cell_angle_gamma 90.00
loop_
_symmetry_equiv_pos_as_xyz
'x,y,z'
'y,-x,-z'
'-x,-y,z'
'-y,x,-z'
'-x,y,z'
'-y,-x,-z'
'x,-y,z'
'y,x,-z'
loop_
_atom_site_label
_atom_site_type_symbol
_atom_site_fract_x
_atom_site_fract_y
_atom_site_fract_z
Li1 Li 0.0000 0.0000 0.0000
Li2 Li 0.0000 0.5000 0.2490
Li3 Li 0.5000 0.5000 0.5000
Tl1 Tl 0.0000 0.0000 0.5000
Ag1 Ag 0.0000 0.5000 0.7604
Sn1 Sn 0.5000 0.5000 0.0000
```

Main lines, by intensity (15° ≤ 2θ ≤ 90°):
hkl, d [Å], 2theta, I_rel
1 0 1, 3.801, 23.4, 100
1 1 2, 2.326, 38.7, 61
2 1 1, 1.988, 45.6, 34
2 0 0, 2.332, 38.6, 31
3 1 2, 1.345, 69.9, 21
1 0 3, 1.980, 45.8, 17
2 1 3, 1.509, 61.4, 14
2 2 0, 1.649, 55.7, 11
2 0 4, 1.341, 70.2, 10
3 2 1, 1.269, 74.8, 8



Entry 5:
Starting from a PBE-relaxed structure, the X-ray diffraction stick pattern of LiAg3Te4W was computed for Cu Kα X-rays.

Structural model:
```
data_LiAg3Te4W
_symmetry_space_group_name_H-M 'P -4 3 m'
_symmetry_Int_Tables_number 215
_symmetry_space_group_name_Hall 'P -4 2 3'
_cell_length_a 6.5094
_cell_length_b 6.5094
_cell_length_c 6.5094
_cell_angle_alpha 90.00
_cell_angle_beta 90.00
_cell_angle_gamma 90.00
loop_
_atom_site_label
_atom_site_type_symbol
_atom_site_fract_x
_atom_site_fract_y
_atom_site_fract_z
Li1 Li 0.0000 0.0000 0.0000
Ag1 Ag 0.0000 0.5000 0.5000
Te1 Te 0.2603 0.2603 0.2603
W1 W 0.5000 0.5000 0.5000
```

Main lines, by intensity (15° ≤ 2θ ≤ 90°):
hkl, d [Å], 2theta, I_rel
2 2 0, 2.301, 39.1, 100
1 1 1, 3.758, 23.7, 66
4 2 2, 1.329, 70.9, 32
3 1 1, 1.963, 46.3, 31
2 1 0, 2.911, 30.7, 25
2 2 1, 2.170, 41.6, 18
4 0 0, 1.627, 56.6, 16
3 2 0, 1.805, 50.6, 14
3 3 1, 1.493, 62.2, 12
4 4 0, 1.151, 84.1, 10



Entry 6:
Starting from a PBE-relaxed structure, the X-ray diffraction stick pattern of LiZrAgTe3 was computed for Cu Kα X-rays.

Structural model:
```
data_LiZrAgTe3
_symmetry_space_group_name_H-M 'P n m a'
_symmetry_Int_Tables_number 62
_cell_length_a 13.2144
_cell_length_b 4.1081
_cell_length_c 12.1382
_cell_angle_alpha 90.00
_cell_angle_beta 90.00
_cell_angle_gamma 90.00
loop_
_symmetry_equiv_pos_as_xyz
'x,y,z'
'-x,-y,-z'
'-x+1/2,-y,z+1/2'
'x+1/2,y,-z+1/2'
'x+1/2,-y+1/2,-z+1/2'
'-x+1/2,y+1/2,z+1/2'
'-x,y+1/2,-z'
'x,-y+1/2,z'
loop_
_atom_site_label
_atom_site_type_symbol
_atom_site_fract_x
_atom_site_fract_y
_atom_site_fract_z
Li1 Li 0.1463 0.2500 0.0145
Zr1 Zr 0.0641 0.2500 0.3276
Ag1 Ag 0.2466 0.7500 0.2079
Te1 Te 0.0432 0.7500 0.1507
Te2 Te 0.0755 0.2500 0.5806
Te3 Te 0.2286 0.7500 0.8664
```

Main lines, by intensity (15° ≤ 2θ ≤ 90°):
hkl, d [Å], 2theta, I_rel
1 1 1, 3.733, 23.8, 100
1 1 3, 2.816, 31.8, 79
2 1 3, 2.642, 33.9, 72
5 1 3, 1.948, 46.6, 56
1 1 4, 2.400, 37.5, 51
5 1 1, 2.186, 41.3, 50
0 2 0, 2.054, 44.1, 43
4 0 0, 3.301, 27.0, 37
3 0 2, 3.565, 25.0, 36
0 0 4, 3.033, 29.4, 28



Entry 7:
Starting from a PBE-relaxed structure, the X-ray diffraction stick pattern of Li2Ag2W3 was computed for Cu Kα X-rays.

Structural model:
```
data_Li2Ag2W3
_symmetry_space_group_name_H-M 'R 3 m'
_symmetry_Int_Tables_number 160
_symmetry_space_group_name_Hall 'R 3 -2"'
_cell_length_a 4.3823
_cell_length_b 4.3823
_cell_length_c 20.0533
_cell_angle_alpha 90.00
_cell_angle_beta 90.00
_cell_angle_gamma 120.00
loop_
_atom_site_label
_atom_site_type_symbol
_atom_site_fract_x
_atom_site_fract_y
_atom_site_fract_z
Li1 Li 0.0000 0.0000 0.0000
Li2 Li 0.0000 0.0000 0.4262
Ag1 Ag 0.0000 0.0000 0.1299
Ag2 Ag 0.0000 0.0000 0.7122
W1 W 0.0000 0.0000 0.2728
W2 W 0.0000 0.0000 0.5696
W3 W 0.0000 0.0000 0.8647
```

Main lines, by intensity (15° ≤ 2θ ≤ 90°):
hkl, d [Å], 2theta, I_rel
1 0 7, 2.286, 39.4, 100
1 1 0, 2.191, 41.2, 100
0 2 7, 1.582, 58.3, 32
2 1 7, 1.283, 73.9, 31
1 1 3, 2.082, 43.5, 27
0 1 2, 3.549, 25.1, 23
1 0 4, 3.026, 29.5, 22
0 1 5, 2.757, 32.5, 21
3 0 0, 1.265, 75.1, 17
1 0 10, 1.774, 51.5, 15



Entry 8:
Starting from a PBE-relaxed structure, the X-ray diffraction stick pattern of LiZn4Ag was computed for Cu Kα X-rays.

Structural model:
```
data_LiZn4Ag
_symmetry_space_group_name_H-M 'A m m 2'
_symmetry_Int_Tables_number 38
_cell_length_a 4.4104
_cell_length_b 8.3200
_cell_length_c 4.8210
_cell_angle_alpha 90.00
_cell_angle_beta 90.00
_cell_angle_gamma 90.00
loop_
_symmetry_equiv_pos_as_xyz
'x,y,z'
'-x,-y,z'
'-x,y,z'
'x,-y,z'
'x,y+1/2,z+1/2'
'-x,-y+1/2,z+1/2'
'-x,y+1/2,z+1/2'
'x,-y+1/2,z+1/2'
loop_
_atom_site_label
_atom_site_type_symbol
_atom_site_fract_x
_atom_site_fract_y
_atom_site_fract_z
Li1 Li 0.0000 0.0000 0.0000
Zn1 Zn 0.0000 0.1728 0.5127
Zn2 Zn 0.5000 0.1654 0.8309
Ag1 Ag 0.5000 0.0000 0.3280
```

Main lines, by intensity (15° ≤ 2θ ≤ 90°):
hkl, d [Å], 2theta, I_rel
1 0 2, 2.112, 42.8, 100
2 0 0, 2.205, 40.9, 25
0 3 1, 2.404, 37.4, 22
3 0 2, 1.255, 75.8, 17
2 3 1, 1.626, 56.6, 17
1 2 0, 3.028, 29.5, 16
0 1 1, 4.171, 21.3, 13
2 3 3, 1.176, 81.9, 12
1 0 0, 4.410, 20.1, 11
0 3 3, 1.390, 67.3, 10



Entry 9:
Starting from a PBE-relaxed structure, the X-ray diffraction stick pattern of LiZrAg was computed for Cu Kα X-rays.

Structural model:
```
data_LiZrAg
_symmetry_space_group_name_H-M 'F -4 3 m'
_symmetry_Int_Tables_number 216
_symmetry_space_group_name_Hall 'F -4 2 3'
_cell_length_a 6.4010
_cell_length_b 6.4010
_cell_length_c 6.4010
_cell_angle_alpha 90.00
_cell_angle_beta 90.00
_cell_angle_gamma 90.00
loop_
_atom_site_label
_atom_site_type_symbol
_atom_site_fract_x
_atom_site_fract_y
_atom_site_fract_z
Li1 Li 0.0000 0.0000 0.0000
Zr1 Zr 0.0000 0.0000 0.5000
Ag1 Ag 0.2500 0.2500 0.2500
```

Main lines, by intensity (15° ≤ 2θ ≤ 90°):
hkl, d [Å], 2theta, I_rel
1 1 1, 3.696, 24.1, 100
2 2 0, 2.263, 39.8, 85
3 1 1, 1.930, 47.1, 47
4 2 2, 1.307, 72.3, 27
3 3 1, 1.468, 63.3, 19
4 0 0, 1.600, 57.6, 14
5 1 1, 1.232, 77.5, 14
4 4 0, 1.132, 85.9, 9



Entry 10:
Starting from a PBE-relaxed structure, the X-ray diffraction stick pattern of NdLuAg2Sn2 was computed for Cu Kα X-rays.

Structural model:
```
data_NdLuAg2Sn2
_symmetry_space_group_name_H-M 'P 3 m 1'
_symmetry_Int_Tables_number 156
_cell_length_a 4.7411
_cell_length_b 4.7411
_cell_length_c 7.4197
_cell_angle_alpha 90.00
_cell_angle_beta 90.00
_cell_angle_gamma 120.00
loop_
_symmetry_equiv_pos_as_xyz
'x,y,z'
'-y,x-y,z'
'-x+y,-x,z'
'-y,-x,z'
'-x+y,y,z'
'x,x-y,z'
loop_
_atom_site_label
_atom_site_type_symbol
_atom_site_fract_x
_atom_site_fract_y
_atom_site_fract_z
Nd1 Nd 0.0000 0.0000 0.0000
Lu1 Lu 0.0000 0.0000 0.5021
Ag1 Ag 0.3333 0.6667 0.2087
Ag2 Ag 0.6667 0.3333 0.6818
Sn1 Sn 0.3333 0.6667 0.7730
Sn2 Sn 0.6667 0.3333 0.2857
```

Main lines, by intensity (15° ≤ 2θ ≤ 90°):
hkl, d [Å], 2theta, I_rel
1 0 2, 2.753, 32.5, 100
1 1 0, 2.371, 38.0, 76
0 2 2, 1.796, 50.8, 29
2 1 2, 1.432, 65.2, 27
1 1 4, 1.461, 63.7, 16
1 0 3, 2.119, 42.7, 15
3 0 0, 1.369, 68.6, 13
2 2 0, 1.185, 81.2, 12
0 1 1, 3.592, 24.8, 9
3 0 4, 1.101, 88.9, 7



Entry 11:
Starting from a PBE-relaxed structure, the X-ray diffraction stick pattern of TbLuAg2Pb2 was computed for Cu Kα X-rays.

Structural model:
```
data_TbLuAg2Pb2
_symmetry_space_group_name_H-M 'P 3 m 1'
_symmetry_Int_Tables_number 156
_cell_length_a 4.7908
_cell_length_b 4.7908
_cell_length_c 7.4179
_cell_angle_alpha 90.00
_cell_angle_beta 90.00
_cell_angle_gamma 120.00
loop_
_symmetry_equiv_pos_as_xyz
'x,y,z'
'-y,x-y,z'
'-x+y,-x,z'
'-y,-x,z'
'-x+y,y,z'
'x,x-y,z'
loop_
_atom_site_label
_atom_site_type_symbol
_atom_site_fract_x
_atom_site_fract_y
_atom_site_fract_z
Tb1 Tb 0.0000 0.0000 0.0000
Lu1 Lu 0.0000 0.0000 0.5014
Ag1 Ag 0.3333 0.6667 0.6795
Ag2 Ag 0.6667 0.3333 0.1854
Pb1 Pb 0.3333 0.6667 0.2808
Pb2 Pb 0.6667 0.3333 0.7776
```

Main lines, by intensity (15° ≤ 2θ ≤ 90°):
hkl, d [Å], 2theta, I_rel
1 0 2, 2.765, 32.4, 100
1 1 0, 2.395, 37.5, 88
0 2 2, 1.811, 50.4, 29
2 1 2, 1.444, 64.5, 28
1 0 1, 3.621, 24.6, 28
0 1 3, 2.124, 42.6, 27
3 0 0, 1.383, 67.8, 17
1 1 4, 1.466, 63.4, 16
1 3 2, 1.099, 89.1, 15
1 2 3, 1.324, 71.2, 12



Entry 12:
Starting from a PBE-relaxed structure, the X-ray diffraction stick pattern of YLuAg2Pb2 was computed for Cu Kα X-rays.

Structural model:
```
data_YLuAg2Pb2
_symmetry_space_group_name_H-M 'P 3 m 1'
_symmetry_Int_Tables_number 156
_cell_length_a 4.7869
_cell_length_b 4.7869
_cell_length_c 7.4236
_cell_angle_alpha 90.00
_cell_angle_beta 90.00
_cell_angle_gamma 120.00
loop_
_symmetry_equiv_pos_as_xyz
'x,y,z'
'-y,x-y,z'
'-x+y,-x,z'
'-y,-x,z'
'-x+y,y,z'
'x,x-y,z'
loop_
_atom_site_label
_atom_site_type_symbol
_atom_site_fract_x
_atom_site_fract_y
_atom_site_fract_z
Y1 Y 0.0000 0.0000 0.0000
Lu1 Lu 0.0000 0.0000 0.5015
Ag1 Ag 0.3333 0.6667 0.6796
Ag2 Ag 0.6667 0.3333 0.1842
Pb1 Pb 0.3333 0.6667 0.2808
Pb2 Pb 0.6667 0.3333 0.7769
```

Main lines, by intensity (15° ≤ 2θ ≤ 90°):
hkl, d [Å], 2theta, I_rel
1 0 2, 2.765, 32.4, 100
1 1 0, 2.393, 37.6, 97
1 0 1, 3.619, 24.6, 39
0 1 3, 2.125, 42.5, 35
0 2 2, 1.810, 50.4, 29
2 1 2, 1.444, 64.6, 27
3 0 0, 1.382, 67.8, 18
1 1 4, 1.467, 63.4, 16
1 2 3, 1.324, 71.2, 15
1 3 2, 1.098, 89.1, 15



Entry 13:
Starting from a PBE-relaxed structure, the X-ray diffraction stick pattern of SrLuAgS3 was computed for Cu Kα X-rays.

Structural model:
```
data_SrLuAgS3
_symmetry_space_group_name_H-M 'C 1 2/m 1'
_symmetry_Int_Tables_number 12
_cell_length_a 17.1430
_cell_length_b 3.9285
_cell_length_c 8.3571
_cell_angle_alpha 90.00
_cell_angle_beta 103.31
_cell_angle_gamma 90.00
loop_
_symmetry_equiv_pos_as_xyz
'x,y,z'
'-x,-y,-z'
'-x,y,-z'
'x,-y,z'
'x+1/2,y+1/2,z'
'-x+1/2,-y+1/2,-z'
'-x+1/2,y+1/2,-z'
'x+1/2,-y+1/2,z'
loop_
_atom_site_label
_atom_site_type_symbol
_atom_site_fract_x
_atom_site_fract_y
_atom_site_fract_z
Sr1 Sr 0.1340 0.0000 0.0713
Lu1 Lu 0.1649 0.0000 0.5851
Ag1 Ag 0.0207 0.5000 0.7121
S1 S 0.0000 0.0000 0.5000
S2 S 0.0000 0.5000 0.0000
S3 S 0.1733 0.5000 0.3658
S4 S 0.1812 0.5000 0.8135
```

Main lines, by intensity (15° ≤ 2θ ≤ 90°):
hkl, d [Å], 2theta, I_rel
1 1 -2, 2.862, 31.3, 100
3 1 0, 3.209, 27.8, 62
6 0 0, 2.780, 32.2, 38
2 0 2, 3.363, 26.5, 29
5 1 2, 2.004, 45.3, 29
0 2 0, 1.964, 46.2, 21
6 0 -1, 2.839, 31.5, 20
4 0 -2, 3.318, 26.9, 18
2 0 -4, 2.089, 43.3, 17
7 1 -3, 1.809, 50.5, 17